# 1
Calculated X-ray diffraction stick pattern of In2NiBr for Cu Kα, from the PBE geometry in Alexandria.

Atomic structure:
Lattice parameters (Å, degrees): 8.089 8.089 8.089 26.29 26.29 26.29
Element x y z (fractional)
In 0.232 0.232 0.232
In 0.768 0.768 0.768
Ni 0.500 0.500 0.500
Br 0.000 0.000 0.000

Main lines, in order of rising 2θ (2θ = 5–70°):
d = 7.805 Å, 2θ 11.34, I 107; d = 2.798 Å, 2θ 31.98, I 1000; d = 2.634 Å, 2θ 34.03, I 130; d = 2.602 Å, 2θ 34.47, I 97; d = 2.307 Å, 2θ 39.04, I 99; d = 2.155 Å, 2θ 41.91, I 314; d = 1.839 Å, 2θ 49.56, I 320; d = 1.770 Å, 2θ 51.64, I 80; d = 1.568 Å, 2θ 58.90, I 81; d = 1.537 Å, 2θ 60.20, I 154; d = 1.502 Å, 2θ 61.76, I 105; d = 1.399 Å, 2θ 66.87, I 75


# 2
Calculated X-ray diffraction stick pattern of NpIn4Br7 for Cu Kα, from the PBE geometry in Alexandria.

Atomic structure:
Lattice parameters (Å, degrees): 11.093 11.093 7.886 106.57 106.57 29.40
Element x y z (fractional)
Np 0.000 0.000 0.000
In 0.304 0.304 0.746
In 0.417 0.417 0.363
In 0.583 0.583 0.637
In 0.696 0.696 0.254
Br 0.083 0.083 0.359
Br 0.116 0.116 0.885
Br 0.277 0.277 0.340
Br 0.500 0.500 0.000
Br 0.723 0.723 0.660
Br 0.884 0.884 0.115
Br 0.917 0.917 0.641

Main lines, in order of rising 2θ (2θ = 5–70°):
d = 10.253 Å, 2θ 8.62, I 408; d = 5.364 Å, 2θ 16.53, I 310; d = 4.577 Å, 2θ 19.39, I 329; d = 4.345 Å, 2θ 20.44, I 367; d = 3.528 Å, 2θ 25.24, I 592; d = 3.154 Å, 2θ 28.29, I 387; d = 2.988 Å, 2θ 29.91, I 641; d = 2.815 Å, 2θ 31.79, I 1000; d = 2.680 Å, 2θ 33.43, I 306; d = 2.599 Å, 2θ 34.52, I 308; d = 2.200 Å, 2θ 41.03, I 364; d = 2.103 Å, 2θ 43.02, I 297